Diffraction record for BaHo4Mn3O12. The powder X-ray diffraction pattern is computed, not measured: it uses a crystal structure in Alexandria, relaxed with PBE+U and Cu Kα (λ = 1.5418 Å).
Neutral-atom scattering factors, no anomalous dispersion.

Cell lengths 8.209, 8.209, 8.209 Å; angles 90.00, 90.00, 90.00 degrees
Space group Im-3 (No. 204)
Asymmetric unit:
1 Ba 0.000 0.000 0.000
2 Ho 0.250 0.250 0.250
3 Mn 0.000 0.000 0.500
4 O 0.000 0.159 0.325

Main lines, low angle first (5 to 70 degrees two-theta):
d = 5.804 Å, intensity 3, (1 1 0)
d = 4.104 Å, intensity 18, (2 0 0)
d = 2.902 Å, intensity 100, (2 2 0)
d = 2.596 Å, intensity 4, (3 1 0)
d = 2.370 Å, intensity 4, (2 2 2)
d = 2.194 Å, intensity 3, (3 2 1)
d = 2.052 Å, intensity 21, (4 0 0)
d = 1.836 Å, intensity 11, (4 0 2)
d = 1.676 Å, intensity 47, (4 2 2)
d = 1.610 Å, intensity 1, (4 1 3)
d = 1.451 Å, intensity 12, (4 4 0)
d = 1.368 Å, intensity 3, (4 4 2)